For CaPd2Pb2, DFT lattice parameters and positions (PBE) gives the theoretical powder diffraction line list in this record (Cu Kα (λ = 1.5418 Å)).

Main lines, low angle first (2θ from 10° to 90°):
2θ/deg	intensity
17.34	58
19.86	67
31.83	100
36.14	58
42.94	31
47.36	34

Cell and atoms:
abc: 4.9978 4.9978 10.2298
angles: 90.00 90.00 84.00
Sites, in units of the cell vectors:
1 Ca 0.2040 0.7960 0.7500
2 Ca 0.7960 0.2040 0.2500
3 Pd 0.1964 0.1964 0.0000
4 Pd 0.1964 0.1964 0.5000
5 Pd 0.8036 0.8036 0.0000
6 Pd 0.8036 0.8036 0.5000
7 Pb 0.3084 0.6916 0.1019
8 Pb 0.3084 0.6916 0.3981
9 Pb 0.6916 0.3084 0.6019
10 Pb 0.6916 0.3084 0.8981